Simulated PXRD pattern
Compound: Rb2LiErCl6
Radiation: Cu Kα
Structure: a PBE-relaxed structure
Intensities are scaled so that the largest is 1000.

Structural model:
```
data_Rb2LiErCl6
_symmetry_space_group_name_H-M 'F m -3 m'
_symmetry_Int_Tables_number 225
_symmetry_space_group_name_Hall '-F 4 2 3'
_cell_length_a 10.4434
_cell_length_b 10.4434
_cell_length_c 10.4434
_cell_angle_alpha 90.00
_cell_angle_beta 90.00
_cell_angle_gamma 90.00
loop_
_atom_site_label
_atom_site_type_symbol
_atom_site_fract_x
_atom_site_fract_y
_atom_site_fract_z
_atom_site_occupancy
Rb1 Rb 0.2500 0.2500 0.2500 1
Li1 Li 0.0000 0.0000 0.0000 1
Er1 Er 0.0000 0.0000 0.5000 1
Cl1 Cl 0.0000 0.0000 0.2498 1
```

Peak list (8 most intense, 2θ = 15–90°, by angle)
d 3.692, intensity 1000; d 3.149, intensity 471; d 3.015, intensity 277; d 2.611, intensity 866; d 2.132, intensity 467; d 1.846, intensity 581; d 1.396, intensity 248; d 1.168, intensity 254